This entry pairs a crystal structure of Tb2Pm4Tm2Sc with its computed powder X-ray diffraction pattern. Radiation: Cu Ka. Structure: a DFT-relaxed cell (PBE, Alexandria).
Intensities are scaled so that the largest is 100.

Crystal structure
```
Tb2Pm4Tm2Sc
1.0
9.2343 -1.7784 0.0000
9.2343 1.7784 0.0000
-0.0223 0.0000 8.6991
Tb Pm Tm Sc
2 4 2 1
Cartesian
2.0360 0.0000 1.4865
16.4103 0.0000 7.2127
4.0898 0.0000 7.1989
8.2314 0.0000 1.5392
10.2148 0.0000 7.1599
14.3564 0.0000 1.5003
6.1882 0.0000 4.3632
12.2581 0.0000 4.3359
-0.0111 0.0000 4.3496
```

Peak list (10 most intense, 15° ≤ 2θ ≤ 90°, by angle)
30.81°, I 100; 35.73°, I 50; 51.42°, I 36; 61.12°, I 32; 61.24°, I 10; 64.17°, I 9; 83.87°, I 12; 83.99°, I 6; 86.56°, I 11; 86.72°, I 5



This entry pairs a crystal structure of ThH6Pt2 with its computed powder X-ray diffraction pattern. Radiation: Cu Ka. Structure: a DFT-relaxed cell (PBE, Alexandria).
Intensities are scaled so that the largest is 100.

Crystal structure
```
ThH6Pt2
1.0
0.0000 5.3831 3.8742
4.4107 0.0000 3.8742
4.4107 5.3831 0.0000
Th H Pt
2 12 4
Cartesian
0.0000 0.0000 0.0000
2.2053 2.6916 1.9371
1.6381 0.3560 1.6862
4.2254 3.9750 1.9259
3.8435 2.3355 3.6232
6.8012 6.6665 3.8630
4.5959 6.7913 1.9259
2.7725 5.0271 1.6862
4.6989 4.3142 4.3889
2.0201 4.0997 3.8630
4.9779 8.4307 3.6232
4.1225 6.4520 4.3889
6.3278 7.0058 6.3260
6.9042 9.1436 6.3260
5.2708 2.9652 3.0183
5.7558 5.6568 4.9554
3.5505 7.8010 3.0183
3.0655 5.1095 4.9554
```

Peak list (10 most intense, 15° ≤ 2θ ≤ 90°, by angle)
17.32°, I 34; 28.38°, I 82; 29.23°, I 51; 30.72°, I 34; 33.29°, I 49; 33.65°, I 100; 37.22°, I 52; 41.37°, I 47; 44.42°, I 26; 50.55°, I 34



This entry pairs a crystal structure of FeIr2RuRh6 with its computed powder X-ray diffraction pattern. Radiation: Cu Ka. Structure: a DFT-relaxed cell (PBE, Alexandria).
Intensities are scaled so that the largest is 100.

Crystal structure
```
FeIr2RuRh6
1.0
5.0184 -4.1081 0.0000
5.0184 4.1081 0.0000
-0.0105 0.0000 7.2236
Fe Ir Ru Rh
2 4 2 12
Cartesian
5.0105 2.8909 5.4177
5.0158 -2.8909 1.8059
2.4107 0.8290 2.0265
2.4055 -0.8290 5.6383
7.6208 0.8290 1.5853
7.6155 -0.8290 5.1970
5.0158 1.0209 1.8059
5.0105 -1.0209 5.4177
4.1504 3.2227 2.9009
3.5392 1.3999 6.8599
5.8812 3.2227 0.7109
3.7458 1.0013 4.2527
6.4819 1.3999 3.9755
3.7511 -1.0013 0.6409
6.2752 1.0013 6.5826
3.5444 -1.3999 3.2481
6.2805 -1.0013 2.9709
4.1451 -3.2227 6.5127
6.4871 -1.3999 0.3637
5.8759 -3.2227 4.3227
```

Peak list (10 most intense, 15° ≤ 2θ ≤ 90°, by angle)
24.93°, I 15; 30.74°, I 26; 31.43°, I 12; 36.20°, I 16; 38.25°, I 31; 43.57°, I 70; 43.95°, I 42; 44.10°, I 100; 64.01°, I 18; 80.44°, I 11